TmCr2Si2: simulated powder diffraction line list (a wavelength of 1.5418 Å), based on a structure optimized by DFT (GGA-PBE).
No peak broadening, texture or thermal motion is included.

Structure:
```
data_TmCr2Si2
_chemical_formula_sum 'Tm2 Cr4 Si4'
_cell_length_a 3.8281
_cell_length_b 3.8281
_cell_length_c 10.6516
_cell_angle_alpha 90.00
_cell_angle_beta 90.00
_cell_angle_gamma 90.00
_space_group_name_H-M_alt 'I 4/m m m'
_space_group_IT_number 139
_space_group_name_Hall '-I 4 2'
loop_
_atom_site_label
_atom_site_fract_x
_atom_site_fract_y
_atom_site_fract_z
Tm1 0.0000 0.0000 0.0000
Cr1 0.0000 0.5000 0.2500
Si1 0.0000 0.0000 0.3859
```

Most intense lines, 15 to 90 degrees two-theta, low angle first:
24.7 deg, d = 3.602 Å, intensity 54.2, (1 0 1)
33.7 deg, d = 2.663 Å, intensity 20.1, (0 0 4)
34.5 deg, d = 2.603 Å, intensity 61.3, (1 0 3)
37.3 deg, d = 2.413 Å, intensity 100.0, (1 1 2)
47.5 deg, d = 1.914 Å, intensity 33.6, (2 0 0)
48.9 deg, d = 1.861 Å, intensity 27.5, (1 0 5)
60.0 deg, d = 1.542 Å, intensity 24.8, (2 1 3)
81.5 deg, d = 1.180 Å, intensity 19.2, (3 1 2)